Starting from a GGA-PBE-relaxed structure, the XRD peak list of Zn6Cu3Au2 was computed for a wavelength of 1.5418 Å.
Peak positions follow from Bragg's law for the DFT cell and can differ from measured ones.

Crystal structure
a b c (Å): 11.3796 7.3740 4.1779
angles (deg): 90.00 110.38 90.00
Space group C2 (No. 5)
Asymmetric unit:
Zn 0.0000 0.0000 0.0000 [2 per cell]
Zn 0.0000 0.4464 0.5000 [2 per cell]
Zn 0.1634 0.3030 0.1584 [4 per cell]
Zn 0.2497 0.4786 0.7425 [4 per cell]
Cu 0.0000 0.8057 0.5000 [2 per cell]
Cu 0.1180 0.1199 0.6155 [4 per cell]
Au 0.1336 0.6592 0.1275 [4 per cell]

Most intense lines, 2θ from 15° to 90°, by angle:
| 2θ/deg | I (rel.) | (hkl) |
| --- | --- | --- |
| 24.1 | 19 | 0 2 0 |
| 24.5 | 37 | 1 1 -1 |
| 32.7 | 20 | 2 0 1 |
| 33.4 | 32 | 4 0 -1 |
| 41.7 | 66 | 3 1 1 |
| 41.8 | 56 | 4 2 0 |
| 42.4 | 51 | 5 1 -1 |
| 42.7 | 100 | 1 3 -1 |
| 43.3 | 53 | 2 0 -2 |
| 61.2 | 18 | 2 2 2 |